Structure and computed powder diffraction line list of SrHoFe2O5 (DFT lattice parameters and positions (GGA+U); λ = 1.5418 Å (Cu Kα)).
No peak broadening, texture or thermal motion is included.

Top 10 peaks for 2θ from 10° to 90°, sorted by position:
Position (°2θ)  I_rel  hkl
11.8  22  0 0 1
22.6  13  1 0 0
25.6  9  1 0 1
32.2  44  1 1 0
33.0  100  1 0 2
40.4  18  1 1 2
46.2  31  2 0 0
57.9  39  2 1 2
59.5  20  1 1 4
69.3  12  2 0 4

Structural model:
a b c (Å): 3.9304 3.9304 7.5011
angles (deg): 90.00 90.00 90.00
Fractional coordinates of all 9 atoms:
1 Sr 0.0000 0.0000 0.0000
2 Ho 0.0000 0.0000 0.5000
3 Fe 0.5000 0.5000 0.2685
4 Fe 0.5000 0.5000 0.7315
5 O 0.0000 0.5000 0.3123
6 O 0.0000 0.5000 0.6877
7 O 0.5000 0.0000 0.3123
8 O 0.5000 0.0000 0.6877
9 O 0.5000 0.5000 0.0000